Diffraction record for TbClO2. The XRD peak list is theoretical, not measured: it uses a GGA-PBE-relaxed structure and Cu Kα, 1.54184 Å.
Intensities are scaled so that the largest is 100.

```
data_TbClO2
_cell_length_a 6.5741
_cell_length_b 3.5802
_cell_length_c 6.5777
_cell_angle_alpha 90.00
_cell_angle_beta 114.32
_cell_angle_gamma 90.00
_symmetry_space_group_name_H-M 'P 1 21/m 1'
_symmetry_Int_Tables_number 11
_symmetry_space_group_name_Hall '-P 2yb'
loop_
_atom_site_label
_atom_site_fract_x
_atom_site_fract_y
_atom_site_fract_z
_atom_site_occupancy
Tb1 0.1625 0.2500 0.2736 1
Cl1 0.4917 0.7500 0.2732 1
O1 0.0414 0.2500 0.8849 1
O2 0.0530 0.7500 0.5229 1
```

Principal peaks in the range 10° ≤ 2θ ≤ 80°, sorted by position:
- 2θ 14.79, I = 61, hkl 1 0 0
- 2θ 16.04, I = 100, hkl 1 0 -1
- 2θ 24.97, I = 49, hkl 1 0 1
- 2θ 27.25, I = 42, hkl 2 0 -1
- 2θ 29.05, I = 98, hkl 1 1 0
- 2θ 29.77, I = 88, hkl 0 0 2
- 2θ 41.29, I = 45, hkl 2 1 -2
- 2θ 42.84, I = 35, hkl 3 0 -2
- 2θ 46.59, I = 43, hkl 1 1 2
- 2θ 48.85, I = 40, hkl 1 1 -3